# RbCrGeO4
Calculated powder X-ray diffraction pattern, Cu Kα, 1.54184 Å. Input: DFT lattice parameters and positions (PBE+U).
Neutral-atom scattering factors, no anomalous dispersion.

The 10 most intense peaks (10 to 90 degrees two-theta), by angle:
- (0 0 1), 12.2 deg, I = 58.3
- (1 1 0), 23.3 deg, I = 40.8
- (1 0 -2), 27.4 deg, I = 81.3
- (1 1 1), 27.7 deg, I = 81.2
- (0 1 2), 29.4 deg, I = 100.0
- (0 2 0), 32.1 deg, I = 78.5
- (2 1 -1), 38.0 deg, I = 58.4
- (2 1 1), 41.8 deg, I = 29.8
- (1 2 -2), 42.7 deg, I = 34.9
- (1 1 -4), 53.1 deg, I = 38.5

```
data_RbCrGeO4
_chemical_formula_sum 'Rb2 Cr2 Ge2 O8'
_space_group_name_H-M_alt 'P 1 21/m 1'
_space_group_IT_number 11
_space_group_name_Hall '-P 2yb'
_cell_length_a 5.329
_cell_length_b 5.584
_cell_length_c 7.363
_cell_angle_alpha 90.00
_cell_angle_beta 99.81
_cell_angle_gamma 90.00
loop_
_atom_site_label
_atom_site_type_symbol
_atom_site_fract_x
_atom_site_fract_y
_atom_site_fract_z
Rb1 Rb 0.179 0.250 0.095
Cr1 Cr 0.154 0.750 0.470
Ge1 Ge 0.382 0.250 0.652
O1 O 0.141 0.021 0.662
O2 O 0.317 0.750 0.209
O3 O 0.479 0.250 0.433
```